# 1
Computed powder diffraction line list of BaCuO2 for Cu Ka, from DFT lattice parameters and positions (PBE).
Intensities are scaled so that the largest is 100.

Structure:
abc: 6.0611 11.9104 3.7028
angles: 90.00 90.00 90.00
Space group Pbam (No. 55)
Inequivalent atoms, fractional coordinates:
Ba: 0.2310 0.1427 0.0000 [4 per cell]
Cu: 0.2334 0.3737 0.5000 [4 per cell]
O: 0.0084 0.7395 0.5000 [4 per cell]
O: 0.2389 0.9145 0.0000 [4 per cell]

Largest 10 diffraction maxima, most intense first, 2θ from 10° to 90°:
two_theta  I/Imax
32.07  100
29.47  36
30.01  30
42.56  29
53.95  22
54.60  19
67.06  14
49.22  12
58.41  10
58.72  9

=====

# 2
Computed powder diffraction line list of GdBO3 for Cu Ka, from DFT lattice parameters and positions (PBE).
Intensities are scaled so that the largest is 100.

Structure:
abc: 8.6787 6.7691 4.3230
angles: 90.00 90.00 90.00
Space group Ama2 (No. 40)
Inequivalent atoms, fractional coordinates:
Gd: 0.0000 0.0000 0.0000 [4 per cell]
B: 0.2500 0.1346 0.4319 [4 per cell]
O: 0.1056 0.1727 0.5603 [8 per cell]
O: 0.2500 0.0527 0.1409 [4 per cell]

Largest 10 diffraction maxima, most intense first, 2θ from 10° to 90°:
two_theta  I/Imax
32.08  100
24.43  97
20.47  65
48.86  42
26.33  42
33.58  39
45.34  34
50.22  30
54.64  25
49.93  22

=====

# 3
Computed powder diffraction line list of NaCaAlH2OF6 for Cu Ka, from DFT lattice parameters and positions (PBE).
Intensities are scaled so that the largest is 100.

Structure:
abc: 5.6710 5.6027 16.2850
angles: 90.00 95.93 90.00
Space group P2_1/c (No. 14)
Inequivalent atoms, fractional coordinates:
Na: 0.2463 0.1432 0.2525 [4 per cell]
Ca: 0.3046 0.6710 0.4023 [4 per cell]
Al: 0.2193 0.6783 0.1390 [4 per cell]
H: 0.2039 0.1118 0.0512 [4 per cell]
H: 0.2482 0.1788 0.4902 [4 per cell]
O: 0.3079 0.1627 0.0091 [4 per cell]
F: 0.0560 0.5305 0.6253 [4 per cell]
F: 0.0601 0.0135 0.3726 [4 per cell]
F: 0.1861 0.6997 0.2502 [4 per cell]
F: 0.2356 0.6614 0.0286 [4 per cell]
F: 0.4046 0.0864 0.6577 [4 per cell]
F: 0.4881 0.6343 0.6555 [4 per cell]

Largest 10 diffraction maxima, most intense first, 2θ from 10° to 90°:
two_theta  I/Imax
22.37  100
45.60  95
30.34  60
21.95  41
46.04  40
40.86  39
44.76  38
31.73  37
42.67  31
44.65  27